No. 1
TbY2Ho3Er6: computed PXRD pattern (λ = 1.5418 Å (Cu Kα)), based on a crystal structure in Alexandria, relaxed with GGA-PBE.

Structural model:
Lattice parameters (Å, degrees): 6.103 6.103 11.684 94.98 94.98 119.93
Fractional coordinates of all 12 atoms:
1 Tb 0.000 0.000 0.000
2 Y 0.333 0.667 0.000
3 Y 0.667 0.333 0.000
4 Ho 0.167 0.833 0.500
5 Ho 0.500 0.500 0.500
6 Ho 0.833 0.167 0.500
7 Er 0.084 0.417 0.251
8 Er 0.249 0.249 0.749
9 Er 0.417 0.084 0.251
10 Er 0.583 0.916 0.749
11 Er 0.751 0.751 0.251
12 Er 0.916 0.583 0.749

Principal peaks in the range 2θ from 15° to 90°, in order of rising 2θ:
31.08°, rel. 100
36.04°, rel. 51
51.89°, rel. 36
61.70°, rel. 21
61.75°, rel. 21
64.80°, rel. 12
84.77°, rel. 13
84.83°, rel. 4
87.49°, rel. 8
87.58°, rel. 8

No. 2
KZr2Pd: computed PXRD pattern (λ = 1.5418 Å (Cu Kα)), based on a crystal structure in Alexandria, relaxed with GGA-PBE.

Structural model:
Lattice parameters (Å, degrees): 4.885 4.885 12.209 90.00 90.00 120.00
Fractional coordinates of all 8 atoms:
1 K 0.333 0.667 0.143
2 K 0.667 0.333 0.857
3 Zr 0.000 0.000 0.372
4 Zr 0.000 0.000 0.628
5 Zr 0.333 0.667 0.471
6 Zr 0.667 0.333 0.529
7 Pd 0.333 0.667 0.682
8 Pd 0.667 0.333 0.318

Principal peaks in the range 2θ from 15° to 90°, in order of rising 2θ:
25.62°, rel. 27
30.48°, rel. 38
36.29°, rel. 67
36.80°, rel. 100
37.56°, rel. 50
42.76°, rel. 29
52.65°, rel. 22
65.95°, rel. 22
66.28°, rel. 16
70.39°, rel. 12